[1]
For Na2Cd3P4NClO14, the PBE geometry in the Materials Project gives the computed X-ray diffraction stick pattern in this record (Cu Kα X-rays).

Peak list (10 most intense, 2θ from 10° to 90°, sorted by position)
| 2θ (°) | Rel. int. |
| --- | --- |
| 12.48 | 89.2 |
| 14.34 | 49.0 |
| 20.69 | 36.8 |
| 21.66 | 42.9 |
| 23.86 | 31.9 |
| 26.27 | 42.1 |
| 28.47 | 48.3 |
| 29.88 | 100.0 |
| 31.17 | 51.9 |
| 33.08 | 74.7 |

Structure:
Lattice parameters (Å, degrees): 11.278 11.278 14.382 119.78 119.78 27.80
Fractional coordinates of all 50 atoms:
1 Na 0.191 0.241 0.152
2 Na 0.241 0.191 0.652
3 Na 0.759 0.809 0.348
4 Na 0.809 0.759 0.848
5 Cd 0.142 0.161 0.842
6 Cd 0.161 0.142 0.342
7 Cd 0.456 0.544 0.250
8 Cd 0.544 0.456 0.750
9 Cd 0.839 0.858 0.658
10 Cd 0.858 0.839 0.158
11 P 0.325 0.357 0.503
12 P 0.357 0.325 0.003
13 P 0.377 0.385 0.335
14 P 0.385 0.377 0.835
15 P 0.615 0.623 0.165
16 P 0.623 0.615 0.665
17 P 0.643 0.675 0.997
18 P 0.675 0.643 0.497
19 N 0.000 0.000 0.000
20 N 0.000 0.000 0.500
21 Cl 0.037 0.963 0.750
22 Cl 0.963 0.037 0.250
23 O 0.041 0.633 0.514
24 O 0.090 0.597 0.291
25 O 0.128 0.536 0.761
26 O 0.165 0.376 0.924
27 O 0.265 0.496 0.114
28 O 0.355 0.429 0.954
29 O 0.367 0.959 0.986
30 O 0.376 0.165 0.424
31 O 0.403 0.910 0.209
32 O 0.429 0.355 0.454
33 O 0.450 0.464 0.856
34 O 0.464 0.450 0.356
35 O 0.464 0.872 0.739
36 O 0.496 0.265 0.614
37 O 0.504 0.735 0.386
38 O 0.536 0.128 0.261
39 O 0.536 0.550 0.644
40 O 0.550 0.536 0.144
41 O 0.571 0.645 0.546
42 O 0.597 0.090 0.791
43 O 0.624 0.835 0.576
44 O 0.633 0.041 0.014
45 O 0.645 0.571 0.046
46 O 0.735 0.504 0.886
47 O 0.835 0.624 0.076
48 O 0.872 0.464 0.239
49 O 0.910 0.403 0.709
50 O 0.959 0.367 0.486

[2]
For Ta9Co2S6, the PBE geometry in the Materials Project gives the computed X-ray diffraction stick pattern in this record (Cu Kα X-rays).

Peak list (10 most intense, 2θ from 10° to 90°, sorted by position)
| 2θ (°) | Rel. int. |
| --- | --- |
| 26.28 | 16.2 |
| 33.68 | 61.5 |
| 36.10 | 61.3 |
| 38.02 | 100.0 |
| 40.21 | 38.4 |
| 40.69 | 18.6 |
| 44.44 | 38.1 |
| 60.50 | 16.1 |
| 64.32 | 23.6 |
| 68.11 | 19.1 |

Structure:
Lattice parameters (Å, degrees): 10.359 10.359 6.611 90.00 90.00 120.00
Fractional coordinates of all 34 atoms:
1 Ta 0.000 0.457 0.249
2 Ta 0.000 0.457 0.751
3 Ta 0.192 0.740 0.500
4 Ta 0.211 0.740 0.000
5 Ta 0.260 0.452 0.500
6 Ta 0.260 0.471 0.000
7 Ta 0.452 0.260 0.500
8 Ta 0.457 0.000 0.249
9 Ta 0.457 0.000 0.751
10 Ta 0.471 0.260 0.000
11 Ta 0.529 0.789 0.000
12 Ta 0.543 0.543 0.249
13 Ta 0.543 0.543 0.751
14 Ta 0.548 0.808 0.500
15 Ta 0.740 0.192 0.500
16 Ta 0.740 0.211 0.000
17 Ta 0.789 0.529 0.000
18 Ta 0.808 0.548 0.500
19 Co 0.333 0.667 0.279
20 Co 0.333 0.667 0.721
21 Co 0.667 0.333 0.279
22 Co 0.667 0.333 0.721
23 S 0.000 0.273 0.500
24 S 0.000 0.275 0.000
25 S 0.000 0.703 0.238
26 S 0.000 0.703 0.762
27 S 0.273 0.000 0.500
28 S 0.275 0.000 0.000
29 S 0.297 0.297 0.238
30 S 0.297 0.297 0.762
31 S 0.703 0.000 0.238
32 S 0.703 0.000 0.762
33 S 0.725 0.725 0.000
34 S 0.727 0.727 0.500

[3]
For La3Ni13B2, the PBE geometry in the Materials Project gives the computed X-ray diffraction stick pattern in this record (Cu Kα X-rays).

Peak list (10 most intense, 2θ from 10° to 90°, sorted by position)
| 2θ (°) | Rel. int. |
| --- | --- |
| 31.62 | 67.4 |
| 35.44 | 30.2 |
| 41.12 | 40.4 |
| 41.22 | 20.3 |
| 43.28 | 100.0 |
| 49.22 | 13.7 |
| 61.21 | 13.5 |
| 66.03 | 14.8 |
| 69.00 | 15.6 |
| 75.06 | 13.7 |

Structure:
Lattice parameters (Å, degrees): 5.062 5.062 11.108 90.00 90.00 119.84
Fractional coordinates of all 18 atoms:
1 La 0.000 0.000 0.000
2 La 0.000 0.000 0.328
3 La 0.000 0.000 0.672
4 Ni 0.000 0.500 0.132
5 Ni 0.000 0.500 0.500
6 Ni 0.000 0.500 0.868
7 Ni 0.333 0.667 0.316
8 Ni 0.333 0.667 0.684
9 Ni 0.500 0.000 0.132
10 Ni 0.500 0.000 0.500
11 Ni 0.500 0.000 0.868
12 Ni 0.500 0.500 0.132
13 Ni 0.500 0.500 0.500
14 Ni 0.500 0.500 0.868
15 Ni 0.667 0.333 0.316
16 Ni 0.667 0.333 0.684
17 B 0.334 0.666 0.000
18 B 0.666 0.334 0.000

Which formula does entry 2 have? Ta9Co2S6